No. 1
Computed powder X-ray diffraction pattern
Compound: LaPm8In6
Radiation: Cu Kα (weighted mean of Kα1 and Kα2)
Structure: a DFT-relaxed cell (PBE, Alexandria)

Largest 10 diffraction maxima, sorted by position, 5° ≤ 2θ ≤ 70°:
d [Å]	Rel. int.
4.641	12
3.797	31
2.691	100
2.680	94
2.189	7
1.899	36
1.695	6
1.556	17
1.548	54
1.345	10

Structure:
```
data_LaPm8In6
_symmetry_space_group_name_H-M 'P 1'
_symmetry_Int_Tables_number 1
_cell_length_a 8.5051
_cell_length_b 8.5051
_cell_length_c 8.5051
_cell_angle_alpha 66.14
_cell_angle_beta 66.14
_cell_angle_gamma 66.14
loop_
_symmetry_equiv_pos_as_xyz
'x,y,z'
loop_
_atom_site_label
_atom_site_type_symbol
_atom_site_fract_x
_atom_site_fract_y
_atom_site_fract_z
La1 La 0.0000 0.0000 0.0000
Pm1 Pm 0.1164 0.7843 0.4449
Pm2 Pm 0.2157 0.5551 0.8836
Pm3 Pm 0.3321 0.3321 0.3321
Pm4 Pm 0.4449 0.1164 0.7843
Pm5 Pm 0.5551 0.8836 0.2157
Pm6 Pm 0.6679 0.6679 0.6679
Pm7 Pm 0.7843 0.4449 0.1164
Pm8 Pm 0.8836 0.2157 0.5551
In1 In 0.0559 0.3942 0.7164
In2 In 0.2836 0.9441 0.6058
In3 In 0.3942 0.7164 0.0559
In4 In 0.6058 0.2836 0.9441
In5 In 0.7164 0.0559 0.3942
In6 In 0.9441 0.6058 0.2836
```

***

No. 2
Computed powder X-ray diffraction pattern
Compound: Pm7Dy3Th
Radiation: Cu Kα (weighted mean of Kα1 and Kα2)
Structure: a DFT-relaxed cell (PBE, Alexandria)

Largest 10 diffraction maxima, sorted by position, 5° ≤ 2θ ≤ 70°:
d [Å]	Rel. int.
3.107	21
3.035	14
2.865	50
2.814	100
2.684	29
2.670	54
1.808	25
1.675	15
1.527	22
1.525	13

Structure:
```
data_Pm7Dy3Th
_symmetry_space_group_name_H-M 'P 1'
_symmetry_Int_Tables_number 1
_cell_length_a 7.2045
_cell_length_b 10.2246
_cell_length_c 12.5024
_cell_angle_alpha 66.13
_cell_angle_beta 73.27
_cell_angle_gamma 69.43
loop_
_symmetry_equiv_pos_as_xyz
'x,y,z'
loop_
_atom_site_label
_atom_site_type_symbol
_atom_site_fract_x
_atom_site_fract_y
_atom_site_fract_z
Pm1 Pm 0.0796 0.3037 0.0281
Pm2 Pm 0.0839 0.8044 0.5257
Pm3 Pm 0.2340 0.2500 0.7499
Pm4 Pm 0.3320 0.0521 0.2759
Pm5 Pm 0.3402 0.5520 0.7759
Pm6 Pm 0.4109 0.1963 0.4718
Pm7 Pm 0.4136 0.6956 0.9742
Pm8 Pm 0.5864 0.3044 0.0258
Pm9 Pm 0.5891 0.8037 0.5282
Pm10 Pm 0.6598 0.4480 0.2241
Pm11 Pm 0.6680 0.9479 0.7241
Pm12 Pm 0.7660 0.7500 0.2501
Pm13 Pm 0.9161 0.1956 0.4743
Pm14 Pm 0.9204 0.6963 0.9719
Dy1 Dy 0.1650 0.4411 0.2268
Dy2 Dy 0.1670 0.9410 0.7268
Dy3 Dy 0.5000 0.0000 0.0000
Dy4 Dy 0.5000 0.5000 0.5000
Dy5 Dy 0.8330 0.0590 0.2732
Dy6 Dy 0.8350 0.5589 0.7732
Th1 Th 0.0000 0.0000 0.0000
Th2 Th 0.0000 0.5000 0.5000
```

***

No. 3
Computed powder X-ray diffraction pattern
Compound: LaGa2GeOs2
Radiation: Cu Kα (weighted mean of Kα1 and Kα2)
Structure: a DFT-relaxed cell (PBE, Alexandria)

Largest 10 diffraction maxima, sorted by position, 5° ≤ 2θ ≤ 70°:
d [Å]	Rel. int.
5.780	62
2.890	26
2.830	100
2.446	43
2.295	75
2.158	22
1.797	26
1.674	26
1.623	26
1.408	24

Structure:
```
data_LaGa2GeOs2
_symmetry_space_group_name_H-M 'P 1'
_symmetry_Int_Tables_number 1
_cell_length_a 4.5903
_cell_length_b 4.5903
_cell_length_c 5.7795
_cell_angle_alpha 90.00
_cell_angle_beta 90.00
_cell_angle_gamma 90.00
loop_
_symmetry_equiv_pos_as_xyz
'x,y,z'
loop_
_atom_site_label
_atom_site_type_symbol
_atom_site_fract_x
_atom_site_fract_y
_atom_site_fract_z
La1 La 0.0000 0.0000 0.0000
Ga1 Ga 0.5000 0.5000 0.2355
Ga2 Ga 0.5000 0.5000 0.7645
Ge1 Ge 0.0000 0.0000 0.5000
Os1 Os 0.0000 0.5000 0.5000
Os2 Os 0.5000 0.0000 0.5000
```